(1)
Computed powder diffraction line list
Compound: Ac2ZnPtAu
Radiation: λ = 1.5418 Å (Cu Kα)
Structure: DFT lattice parameters and positions (PBE)
Lines closer than 0.1° are merged.

Principal peaks in the range 15° ≤ 2θ ≤ 90°, sorted by position:
Position (°2θ)  I/Imax
26.38  39
27.62  100
28.84  17
32.96  12
37.54  50
39.38  31
39.57  54
48.03  18
57.04  15
64.41  10

Lattice parameters (Å, degrees): 6.7739 4.5759 9.1392 90.00 94.12 90.00
Atoms (fractional coordinates):
Ac1 0.1621 0.2500 0.3517
Ac2 0.2415 0.2500 0.9155
Ac3 0.7585 0.7500 0.0845
Ac4 0.8379 0.7500 0.6483
Zn1 0.4950 0.2500 0.6269
Zn2 0.5050 0.7500 0.3731
Pt1 0.2395 0.7500 0.1403
Pt2 0.7605 0.2500 0.8597
Au1 0.2993 0.7500 0.6292
Au2 0.7007 0.2500 0.3708

(2)
Computed powder diffraction line list
Compound: Ac2Pu2Au15
Radiation: λ = 1.5418 Å (Cu Kα)
Structure: DFT lattice parameters and positions (PBE)
Lines closer than 0.1° are merged.

Principal peaks in the range 15° ≤ 2θ ≤ 90°, sorted by position:
Position (°2θ)  I/Imax
31.69  36
32.02  35
35.25  30
36.38  34
36.67  100
37.14  59
40.01  23
41.29  65
64.20  20
66.95  26

Lattice parameters (Å, degrees): 7.5622 7.5622 7.5622 79.63 79.63 79.63
Atoms (fractional coordinates):
Ac1 0.1544 0.1544 0.1544
Ac2 0.8456 0.8456 0.8456
Pu1 0.4066 0.4066 0.4066
Pu2 0.5934 0.5934 0.5934
Au1 0.0000 0.5000 0.5000
Au2 0.1387 0.1387 0.6523
Au3 0.1387 0.6523 0.1387
Au4 0.1989 0.5000 0.8011
Au5 0.1989 0.8011 0.5000
Au6 0.3477 0.8613 0.8613
Au7 0.5000 0.0000 0.5000
Au8 0.5000 0.1989 0.8011
Au9 0.5000 0.5000 0.0000
Au10 0.5000 0.8011 0.1989
Au11 0.6523 0.1387 0.1387
Au12 0.8011 0.1989 0.5000
Au13 0.8011 0.5000 0.1989
Au14 0.8613 0.3477 0.8613
Au15 0.8613 0.8613 0.3477

(3)
Computed powder diffraction line list
Compound: RbAc2AuS4
Radiation: λ = 1.5418 Å (Cu Kα)
Structure: DFT lattice parameters and positions (PBE)
Lines closer than 0.1° are merged.

Principal peaks in the range 15° ≤ 2θ ≤ 90°, sorted by position:
Position (°2θ)  I/Imax
21.59  30
24.16  45
24.48  57
27.96  47
29.97  100
32.43  39
36.20  22
41.04  27
41.24  52
41.57  26

Lattice parameters (Å, degrees): 7.6811 7.6811 14.8903 90.00 90.00 147.14
Atoms (fractional coordinates):
Rb1 0.1132 0.8868 0.7500
Rb2 0.8868 0.1132 0.2500
Ac1 0.3672 0.6328 0.5637
Ac2 0.3672 0.6328 0.9363
Ac3 0.6328 0.3672 0.0637
Ac4 0.6328 0.3672 0.4363
Au1 0.1563 0.8437 0.2500
Au2 0.8437 0.1563 0.7500
S1 0.0000 0.0000 0.0000
S2 0.0000 0.0000 0.5000
S3 0.2621 0.7379 0.1092
S4 0.2621 0.7379 0.3908
S5 0.4368 0.5632 0.7500
S6 0.5632 0.4368 0.2500
S7 0.7379 0.2621 0.6092
S8 0.7379 0.2621 0.8908